This entry pairs a crystal structure of HoMoRu with its calculated powder diffractogram. Radiation: λ = 1.5418 Å (Cu Kα). Structure: a DFT-relaxed cell (PBE, Alexandria).
Intensities are scaled so that the largest is 100.

Largest 8 diffraction maxima, in order of rising 2θ, 5° ≤ 2θ ≤ 70°:
two_theta	I (rel.)
18.47	43
26.24	39
33.10	32
35.47	100
37.45	56
42.51	18
44.86	17
52.53	35

Cell and atoms:
a = 6.7928 Å, b = 6.7928 Å, c = 5.9559 Å
α = 90.00°, β = 90.00°, γ = 90.00°
Element x y z (fractional)
Ho 0.2450 0.2450 0.0000
Ho 0.2550 0.7450 0.2500
Ho 0.7450 0.2550 0.7500
Ho 0.7550 0.7550 0.5000
Mo 0.1991 0.8009 0.7500
Mo 0.3009 0.3009 0.5000
Mo 0.6991 0.6991 0.0000
Mo 0.8009 0.1991 0.2500
Ru 0.0475 0.0475 0.5000
Ru 0.4525 0.5475 0.7500
Ru 0.5475 0.4525 0.2500
Ru 0.9525 0.9525 0.0000

***

This entry pairs a crystal structure of Ho2Si4Mo3 with its calculated powder diffractogram. Radiation: λ = 1.5418 Å (Cu Kα). Structure: a DFT-relaxed cell (PBE, Alexandria).
Intensities are scaled so that the largest is 100.

Largest 8 diffraction maxima, in order of rising 2θ, 5° ≤ 2θ ≤ 70°:
two_theta	I (rel.)
30.49	36
34.49	38
34.96	39
37.31	100
37.58	99
38.07	33
41.68	49
42.28	66

Cell and atoms:
a = 6.8507 Å, b = 6.9112 Å, c = 6.7395 Å
α = 90.00°, β = 108.91°, γ = 90.00°
Element x y z (fractional)
Ho 0.1906 0.1700 0.0617
Ho 0.1906 0.3300 0.5617
Ho 0.8094 0.6700 0.4383
Ho 0.8094 0.8300 0.9383
Si 0.0897 0.5444 0.8673
Si 0.0897 0.9556 0.3673
Si 0.4957 0.6315 0.6283
Si 0.4957 0.8685 0.1283
Si 0.5043 0.1315 0.8717
Si 0.5043 0.3685 0.3717
Si 0.9103 0.0444 0.6327
Si 0.9103 0.4556 0.1327
Mo 0.2491 0.6626 0.2487
Mo 0.2491 0.8374 0.7487
Mo 0.5000 0.0000 0.5000
Mo 0.5000 0.5000 0.0000
Mo 0.7509 0.1626 0.2513
Mo 0.7509 0.3374 0.7513

***

This entry pairs a crystal structure of HoTcMo with its calculated powder diffractogram. Radiation: λ = 1.5418 Å (Cu Kα). Structure: a DFT-relaxed cell (PBE, Alexandria).
Intensities are scaled so that the largest is 100.

Largest 8 diffraction maxima, in order of rising 2θ, 5° ≤ 2θ ≤ 70°:
two_theta	I (rel.)
32.94	100
38.49	90
38.75	89
39.00	87
40.38	35
40.71	32
58.81	23
69.08	56

Cell and atoms:
a = 5.4387 Å, b = 5.4387 Å, c = 5.4387 Å
α = 119.97°, β = 119.17°, γ = 90.74°
Element x y z (fractional)
Ho 0.3769 0.1269 0.2500
Ho 0.6231 0.8731 0.7500
Tc 0.0000 0.5000 0.5000
Tc 0.5000 0.5000 0.0000
Mo 0.0000 0.0000 0.5000
Mo 0.0000 0.5000 0.0000

***

This entry pairs a crystal structure of PrHo2NbN4 with its calculated powder diffractogram. Radiation: λ = 1.5418 Å (Cu Kα). Structure: a DFT-relaxed cell (PBE, Alexandria).
Intensities are scaled so that the largest is 100.

Largest 8 diffraction maxima, in order of rising 2θ, 5° ≤ 2θ ≤ 70°:
two_theta	I (rel.)
26.64	35
29.55	48
29.79	46
30.93	100
35.30	26
37.65	71
42.45	26
51.60	21

Cell and atoms:
a = 6.2382 Å, b = 6.2382 Å, c = 12.0928 Å
α = 90.00°, β = 90.00°, γ = 148.14°
Element x y z (fractional)
Pr 0.0969 0.9031 0.7500
Pr 0.9031 0.0969 0.2500
Ho 0.3709 0.6291 0.5352
Ho 0.3709 0.6291 0.9648
Ho 0.6291 0.3709 0.0352
Ho 0.6291 0.3709 0.4648
Nb 0.1636 0.8364 0.2500
Nb 0.8364 0.1636 0.7500
N 0.0000 0.0000 0.0000
N 0.0000 0.0000 0.5000
N 0.2599 0.7401 0.1189
N 0.2599 0.7401 0.3811
N 0.4418 0.5582 0.7500
N 0.5582 0.4418 0.2500
N 0.7401 0.2599 0.6189
N 0.7401 0.2599 0.8811

***

This entry pairs a crystal structure of HoPu2NbN4 with its calculated powder diffractogram. Radiation: λ = 1.5418 Å (Cu Kα). Structure: a DFT-relaxed cell (PBE, Alexandria).
Intensities are scaled so that the largest is 100.

Largest 8 diffraction maxima, in order of rising 2θ, 5° ≤ 2θ ≤ 70°:
two_theta	I (rel.)
16.17	15
32.42	34
32.61	100
37.78	91
54.37	31
54.67	21
64.74	15
65.01	30

Cell and atoms:
a = 5.8106 Å, b = 3.3674 Å, c = 5.8540 Å
α = 90.00°, β = 109.37°, γ = 90.00°
Element x y z (fractional)
Ho 0.0000 0.0000 0.0000
Pu 0.5000 0.0000 0.5000
Pu 0.5000 0.5000 0.0000
Nb 0.0000 0.5000 0.5000
N 0.2358 0.0000 0.7324
N 0.2428 0.5000 0.2628
N 0.7572 0.5000 0.7372
N 0.7642 0.0000 0.2676

***

This entry pairs a crystal structure of YHo2NbN4 with its calculated powder diffractogram. Radiation: λ = 1.5418 Å (Cu Kα). Structure: a DFT-relaxed cell (PBE, Alexandria).
Intensities are scaled so that the largest is 100.

Largest 8 diffraction maxima, in order of rising 2θ, 5° ≤ 2θ ≤ 70°:
two_theta	I (rel.)
16.13	14
32.59	66
32.75	65
37.90	100
54.42	11
54.70	44
64.98	19
65.25	28

Cell and atoms:
a = 5.8156 Å, b = 3.3480 Å, c = 5.8184 Å
α = 90.00°, β = 109.14°, γ = 90.00°
Element x y z (fractional)
Y 0.0000 0.0000 0.0000
Ho 0.5000 0.0000 0.5000
Ho 0.5000 0.5000 0.0000
Nb 0.0000 0.5000 0.5000
N 0.2362 0.0000 0.7345
N 0.2408 0.5000 0.2626
N 0.7592 0.5000 0.7374
N 0.7638 0.0000 0.2655

***

This entry pairs a crystal structure of Nd2HoN3 with its calculated powder diffractogram. Radiation: λ = 1.5418 Å (Cu Kα). Structure: a DFT-relaxed cell (PBE, Alexandria).
Intensities are scaled so that the largest is 100.

Largest 7 diffraction maxima, in order of rising 2θ, 5° ≤ 2θ ≤ 70°:
two_theta	I (rel.)
11.61	1
30.47	100
35.33	73
38.74	1
50.83	51
60.43	45
63.42	17

Cell and atoms:
a = 8.0330 Å, b = 8.0330 Å, c = 8.0330 Å
α = 154.16°, β = 154.16°, γ = 36.87°
Element x y z (fractional)
Nd 0.1633 0.1633 0.0000
Nd 0.8367 0.8367 0.0000
Ho 0.5000 0.5000 0.0000
N 0.0000 0.0000 0.0000
N 0.3400 0.3400 0.0000
N 0.6600 0.6600 0.0000

***

This entry pairs a crystal structure of Nd4HoN4 with its calculated powder diffractogram. Radiation: λ = 1.5418 Å (Cu Kα). Structure: a DFT-relaxed cell (PBE, Alexandria).
Intensities are scaled so that the largest is 100.

Largest 8 diffraction maxima, in order of rising 2θ, 5° ≤ 2θ ≤ 70°:
two_theta	I (rel.)
29.85	48
30.18	51
30.35	100
34.94	90
35.09	45
50.14	29
50.61	48
60.09	36

Cell and atoms:
a = 6.2947 Å, b = 6.2947 Å, c = 8.9803 Å
α = 118.81°, β = 118.81°, γ = 33.26°
Element x y z (fractional)
Nd 0.1050 0.1050 0.3816
Nd 0.2945 0.2945 0.1876
Nd 0.7055 0.7055 0.8124
Nd 0.8950 0.8950 0.6184
Ho 0.5000 0.5000 0.0000
N 0.0984 0.0984 0.9089
N 0.3069 0.3069 0.7054
N 0.6931 0.6931 0.2946
N 0.9016 0.9016 0.0911

***

This entry pairs a crystal structure of NdHo2SbN4 with its calculated powder diffractogram. Radiation: λ = 1.5418 Å (Cu Kα). Structure: a DFT-relaxed cell (PBE, Alexandria).
Intensities are scaled so that the largest is 100.

Largest 8 diffraction maxima, in order of rising 2θ, 5° ≤ 2θ ≤ 70°:
two_theta	I (rel.)
30.81	100
31.00	58
31.72	66
33.52	30
43.27	23
46.30	29
55.06	34
64.48	25

Cell and atoms:
a = 6.9201 Å, b = 6.9201 Å, c = 11.5392 Å
α = 90.00°, β = 90.00°, γ = 152.13°
Element x y z (fractional)
Nd 0.2375 0.7625 0.7500
Nd 0.7625 0.2375 0.2500
Ho 0.3688 0.6312 0.0035
Ho 0.3688 0.6312 0.4965
Ho 0.6312 0.3688 0.5035
Ho 0.6312 0.3688 0.9965
Sb 0.0139 0.9861 0.2500
Sb 0.9861 0.0139 0.7500
N 0.0000 0.0000 0.0000
N 0.0000 0.0000 0.5000
N 0.2119 0.7881 0.1054
N 0.2119 0.7881 0.3946
N 0.4115 0.5885 0.2500
N 0.5885 0.4115 0.7500
N 0.7881 0.2119 0.6054
N 0.7881 0.2119 0.8946

***

This entry pairs a crystal structure of HoNp4N5 with its calculated powder diffractogram. Radiation: λ = 1.5418 Å (Cu Kα). Structure: a DFT-relaxed cell (PBE, Alexandria).
Intensities are scaled so that the largest is 100.

Largest 8 diffraction maxima, in order of rising 2θ, 5° ≤ 2θ ≤ 70°:
two_theta	I (rel.)
16.24	1
21.55	1
23.04	1
31.75	100
36.82	65
53.06	46
63.17	45
66.33	16

Cell and atoms:
a = 5.9793 Å, b = 5.9793 Å, c = 5.9793 Å
α = 99.58°, β = 99.58°, γ = 131.84°
Element x y z (fractional)
Ho 0.0000 0.0000 0.0000
Np 0.2007 0.6010 0.8017
Np 0.3990 0.2007 0.5998
Np 0.6010 0.7993 0.4002
Np 0.7993 0.3990 0.1983
N 0.1017 0.3019 0.4037
N 0.3019 0.8983 0.2002
N 0.5000 0.5000 0.0000
N 0.6981 0.1017 0.7998
N 0.8983 0.6981 0.5963

***

This entry pairs a crystal structure of Ho2NpWN6 with its calculated powder diffractogram. Radiation: λ = 1.5418 Å (Cu Kα). Structure: a DFT-relaxed cell (PBE, Alexandria).
Intensities are scaled so that the largest is 100.

Largest 8 diffraction maxima, in order of rising 2θ, 5° ≤ 2θ ≤ 70°:
two_theta	I (rel.)
30.08	100
31.78	48
45.56	23
46.68	14
52.33	18
55.56	37
62.53	12
67.26	13

Cell and atoms:
a = 5.6318 Å, b = 5.6318 Å, c = 4.4599 Å
α = 90.00°, β = 90.00°, γ = 90.00°
Element x y z (fractional)
Ho 0.0000 0.5000 0.0000
Ho 0.5000 0.0000 0.0000
Np 0.0000 0.0000 0.6155
W 0.5000 0.5000 0.5799
N 0.0000 0.0000 0.1434
N 0.2586 0.2586 0.7055
N 0.2586 0.7414 0.7055
N 0.5000 0.5000 0.1742
N 0.7414 0.2586 0.7055
N 0.7414 0.7414 0.7055

***

This entry pairs a crystal structure of Ho4PSe2N with its calculated powder diffractogram. Radiation: λ = 1.5418 Å (Cu Kα). Structure: a DFT-relaxed cell (PBE, Alexandria).
Intensities are scaled so that the largest is 100.

Largest 8 diffraction maxima, in order of rising 2θ, 5° ≤ 2θ ≤ 70°:
two_theta	I (rel.)
27.17	17
28.31	39
32.48	100
35.32	17
45.86	29
47.28	23
58.62	15
68.01	17

Cell and atoms:
a = 6.6642 Å, b = 3.8364 Å, c = 6.9264 Å
α = 90.00°, β = 108.62°, γ = 90.00°
Element x y z (fractional)
Ho 0.2184 0.0000 0.2068
Ho 0.2387 0.5000 0.7859
Ho 0.7613 0.5000 0.2141
Ho 0.7816 0.0000 0.7932
P 0.5000 0.0000 0.0000
Se 0.0000 0.0000 0.5000
Se 0.5000 0.5000 0.5000
N 0.0000 0.5000 0.0000